1.
This entry pairs a crystal structure of LaMnNi4 with its theoretical powder X-ray diffraction pattern. Radiation: CuKα. Structure: a crystal structure in Alexandria, relaxed with PBE.
No peak broadening, texture or thermal motion is included.

Largest 6 diffraction maxima, low angle first, 2θ from 10° to 90°:
2θ = 30.2°, rel. 48, (1 0 1)
2θ = 35.2°, rel. 30, (1 1 0)
2θ = 40.9°, rel. 39, (2 0 0)
2θ = 42.1°, rel. 100, (1 1 1)
2θ = 45.6°, rel. 26, (0 0 2)
2θ = 67.9°, rel. 23, (3 0 1)

Structural model:
Cell lengths 5.0957, 5.0957, 3.9798 Å; angles 90.00, 90.00, 120.00 degrees
Space group P-6m2 (No. 187)
Symmetry-distinct sites (fractional):
1 La 0.0000 0.0000 0.0000 [1 per cell]
2 Mn 0.3333 0.6667 0.0000 [1 per cell]
3 Ni 0.5023 0.0046 0.5000 [3 per cell]
4 Ni 0.6667 0.3333 0.0000 [1 per cell]



2.
This entry pairs a crystal structure of Ac4La2Dy with its theoretical powder X-ray diffraction pattern. Radiation: CuKα. Structure: a crystal structure in Alexandria, relaxed with PBE.
No peak broadening, texture or thermal motion is included.

Largest 6 diffraction maxima, low angle first, 2θ from 10° to 90°:
2θ = 24.8°, rel. 47, (0 2 1)
2θ = 28.4°, rel. 56, (2 0 0)
2θ = 29.0°, rel. 100, (1 7 0)
2θ = 33.2°, rel. 75, (1 5 1)
2θ = 38.1°, rel. 31, (2 2 1)
2θ = 57.5°, rel. 30, (1 7 2)

Structural model:
Cell lengths 6.282, 24.709, 3.752 Å; angles 90.00, 90.00, 90.00 degrees
Space group Cmmm (No. 65)
Symmetry-distinct sites (fractional):
1 Ac 0.000 0.078 0.000 [4 per cell]
2 Ac 0.000 0.364 0.500 [4 per cell]
3 La 0.000 0.216 0.500 [4 per cell]
4 Dy 0.000 0.500 0.000 [2 per cell]



3.
This entry pairs a crystal structure of KCd2InSn with its theoretical powder X-ray diffraction pattern. Radiation: CuKα. Structure: a crystal structure in Alexandria, relaxed with PBE.
No peak broadening, texture or thermal motion is included.

Largest 6 diffraction maxima, low angle first, 2θ from 10° to 90°:
2θ = 13.6°, rel. 36, (0 0 2)
2θ = 29.8°, rel. 100, (1 1 2)
2θ = 37.4°, rel. 35, (0 2 0)
2θ = 37.8°, rel. 35, (2 0 0)
2θ = 38.4°, rel. 88, (1 1 4)
2θ = 39.5°, rel. 32, (0 1 5)

Structural model:
Cell lengths 4.761, 4.804, 12.993 Å; angles 90.00, 90.00, 90.00 degrees
Space group Imm2 (No. 44)
Symmetry-distinct sites (fractional):
1 K 0.000 0.000 0.000 [2 per cell]
2 Cd 0.000 0.000 0.610 [2 per cell]
3 Cd 0.000 0.500 0.250 [2 per cell]
4 In 0.000 0.500 0.747 [2 per cell]
5 Sn 0.000 0.000 0.387 [2 per cell]



4.
This entry pairs a crystal structure of BP3RhC with its theoretical powder X-ray diffraction pattern. Radiation: CuKα. Structure: a crystal structure in Alexandria, relaxed with PBE.
No peak broadening, texture or thermal motion is included.

Largest 6 diffraction maxima, low angle first, 2θ from 10° to 90°:
2θ = 14.3°, rel. 88, (0 0 1)
2θ = 21.0°, rel. 100, (1 0 0)
2θ = 21.4°, rel. 88, (1 0 -1)
2θ = 33.3°, rel. 68, (0 1 1)
2θ = 37.1°, rel. 62, (1 1 -1)
2θ = 42.8°, rel. 89, (1 1 -2)

Structural model:
Cell lengths 4.454, 2.987, 6.515 Å; angles 90.00, 108.46, 90.00 degrees
Space group Pm (No. 6)
Symmetry-distinct sites (fractional):
1 B 0.000 0.000 0.000 [1 per cell]
2 P 0.557 0.000 0.806 [1 per cell]
3 P 0.603 0.000 0.272 [1 per cell]
4 P 0.982 0.500 0.210 [1 per cell]
5 Rh 0.431 0.500 0.510 [1 per cell]
6 C 0.342 0.000 0.995 [1 per cell]



5.
This entry pairs a crystal structure of MgAgAs with its theoretical powder X-ray diffraction pattern. Radiation: CuKα. Structure: a crystal structure in Alexandria, relaxed with PBE.
No peak broadening, texture or thermal motion is included.

Largest 6 diffraction maxima, low angle first, 2θ from 10° to 90°:
2θ = 24.1°, rel. 70, (1 1 0)
2θ = 25.5°, rel. 70, (0 0 2)
2θ = 30.0°, rel. 100, (1 1 1)
2θ = 39.5°, rel. 92, (1 3 0)
2θ = 39.6°, rel. 81, (1 3 -1)
2θ = 43.9°, rel. 83, (2 0 0)

Structural model:
Cell lengths 4.285, 8.223, 7.272 Å; angles 90.00, 105.77, 90.00 degrees
Space group Cc (No. 9)
Symmetry-distinct sites (fractional):
1 Mg 0.000 0.052 0.000 [4 per cell]
2 Ag 0.368 0.195 0.736 [4 per cell]
3 As 0.439 0.123 0.369 [4 per cell]



6.
This entry pairs a crystal structure of AcNd3Y8 with its theoretical powder X-ray diffraction pattern. Radiation: CuKα. Structure: a crystal structure in Alexandria, relaxed with PBE.
No peak broadening, texture or thermal motion is included.

Largest 6 diffraction maxima, low angle first, 2θ from 10° to 90°:
2θ = 27.9°, rel. 25, (3 0 1)
2θ = 30.8°, rel. 37, (0 4 0)
2θ = 31.9°, rel. 52, (0 2 2)
2θ = 32.0°, rel. 100, (3 2 1)
2θ = 42.0°, rel. 24, (3 4 1)
2θ = 55.5°, rel. 31, (0 6 2)

Structural model:
Cell lengths 11.046, 11.614, 6.415 Å; angles 90.00, 90.00, 90.00 degrees
Space group Imm2 (No. 44)
Symmetry-distinct sites (fractional):
1 Ac 0.000 0.000 0.000 [2 per cell]
2 Nd 0.000 0.253 0.665 [4 per cell]
3 Nd 0.000 0.500 0.000 [2 per cell]
4 Y 0.165 0.500 0.498 [4 per cell]
5 Y 0.168 0.253 0.169 [8 per cell]
6 Y 0.169 0.000 0.498 [4 per cell]



7.
This entry pairs a crystal structure of AcHo2TaN4 with its theoretical powder X-ray diffraction pattern. Radiation: CuKα. Structure: a crystal structure in Alexandria, relaxed with PBE.
No peak broadening, texture or thermal motion is included.

Largest 6 diffraction maxima, low angle first, 2θ from 10° to 90°:
2θ = 29.1°, rel. 36, (0 4 0)
2θ = 29.6°, rel. 49, (0 0 4)
2θ = 30.0°, rel. 27, (0 4 1)
2θ = 30.5°, rel. 100, (1 1 2)
2θ = 34.6°, rel. 35, (1 3 1)
2θ = 37.0°, rel. 58, (1 3 2)

Structural model:
Cell lengths 3.479, 12.288, 12.075 Å; angles 90.00, 90.00, 90.00 degrees
Space group Cmcm (No. 63)
Symmetry-distinct sites (fractional):
1 Ac 0.000 0.090 0.250 [4 per cell]
2 Ho 0.000 0.372 0.036 [8 per cell]
3 Ta 0.000 0.170 0.750 [4 per cell]
4 N 0.000 0.000 0.000 [4 per cell]
5 N 0.000 0.260 0.617 [8 per cell]
6 N 0.000 0.425 0.250 [4 per cell]



8.
This entry pairs a crystal structure of SnPbAu2 with its theoretical powder X-ray diffraction pattern. Radiation: CuKα. Structure: a crystal structure in Alexandria, relaxed with PBE.
No peak broadening, texture or thermal motion is included.

Largest 6 diffraction maxima, low angle first, 2θ from 10° to 90°:
2θ = 31.4°, rel. 93, (1 1 0)
2θ = 31.7°, rel. 68, (1 1 -1)
2θ = 32.4°, rel. 58, (0 0 2)
2θ = 38.8°, rel. 100, (1 1 1)
2θ = 39.6°, rel. 58, (1 1 -2)
2θ = 42.3°, rel. 43, (0 2 0)

Structural model:
Cell lengths 4.044, 4.273, 5.832 Å; angles 90.00, 108.67, 90.00 degrees
Space group Pm (No. 6)
Symmetry-distinct sites (fractional):
1 Sn 0.000 0.000 0.000 [1 per cell]
2 Pb 0.297 0.500 0.575 [1 per cell]
3 Au 0.545 0.500 0.105 [1 per cell]
4 Au 0.752 0.000 0.465 [1 per cell]



9.
This entry pairs a crystal structure of KAl2Cd2Au6 with its theoretical powder X-ray diffraction pattern. Radiation: CuKα. Structure: a crystal structure in Alexandria, relaxed with PBE.
No peak broadening, texture or thermal motion is included.

Largest 6 diffraction maxima, low angle first, 2θ from 10° to 90°:
2θ = 12.3°, rel. 100, (0 0 1)
2θ = 13.3°, rel. 41, (0 1 -1)
2θ = 23.7°, rel. 21, (0 2 -1)
2θ = 24.8°, rel. 19, (0 0 2)
2θ = 39.2°, rel. 22, (-3 1 1)
2θ = 45.0°, rel. 23, (1 -3 3)

Structural model:
Cell lengths 7.094, 7.522, 8.646 Å; angles 113.57, 110.55, 94.67 degrees
Space group P-1 (No. 2)
Symmetry-distinct sites (fractional):
1 K 0.000 0.000 0.000 [1 per cell]
2 Al 0.310 0.967 0.529 [2 per cell]
3 Cd 0.199 0.537 0.492 [2 per cell]
4 Au 0.033 0.165 0.463 [2 per cell]
5 Au 0.386 0.933 0.821 [2 per cell]
6 Au 0.446 0.264 0.493 [2 per cell]



10.
This entry pairs a crystal structure of KZrPCO7 with its theoretical powder X-ray diffraction pattern. Radiation: CuKα. Structure: a crystal structure in Alexandria, relaxed with PBE.
No peak broadening, texture or thermal motion is included.

Largest 6 diffraction maxima, low angle first, 2θ from 10° to 90°:
2θ = 15.9°, rel. 98, (0 1 1)
2θ = 18.2°, rel. 64, (1 0 -1)
2θ = 19.3°, rel. 82, (1 0 1)
2θ = 23.5°, rel. 62, (1 0 -2)
2θ = 25.3°, rel. 59, (1 0 2)
2θ = 26.5°, rel. 100, (0 2 0)

Structural model:
Cell lengths 5.412, 6.720, 9.913 Å; angles 90.00, 94.01, 90.00 degrees
Space group P2_1 (No. 4)
Symmetry-distinct sites (fractional):
1 K 0.070 0.000 0.116 [2 per cell]
2 Zr 0.271 0.875 0.658 [2 per cell]
3 P 0.267 0.373 0.570 [2 per cell]
4 C 0.488 0.860 0.903 [2 per cell]
5 O 0.062 0.369 0.455 [2 per cell]
6 O 0.240 0.866 0.873 [2 per cell]
7 O 0.241 0.558 0.660 [2 per cell]
8 O 0.252 0.186 0.660 [2 per cell]
9 O 0.388 0.346 0.207 [2 per cell]
10 O 0.418 0.367 0.979 [2 per cell]
11 O 0.480 0.876 0.494 [2 per cell]



11.
This entry pairs a crystal structure of Ho4SbTeSe2 with its theoretical powder X-ray diffraction pattern. Radiation: CuKα. Structure: a crystal structure in Alexandria, relaxed with PBE.
No peak broadening, texture or thermal motion is included.

Largest 6 diffraction maxima, low angle first, 2θ from 10° to 90°:
2θ = 30.0°, rel. 100, (2 0 -2)
2θ = 42.9°, rel. 35, (1 1 -3)
2θ = 43.1°, rel. 38, (0 2 0)
2θ = 53.5°, rel. 13, (2 2 -2)
2θ = 62.4°, rel. 11, (4 0 -4)
2θ = 71.0°, rel. 17, (1 3 1)

Structural model:
Cell lengths 7.269, 4.191, 7.322 Å; angles 90.00, 109.20, 90.00 degrees
Space group P2/m (No. 10)
Symmetry-distinct sites (fractional):
1 Ho 0.233 0.000 0.222 [2 per cell]
2 Ho 0.250 0.500 0.772 [2 per cell]
3 Sb 0.000 0.000 0.500 [1 per cell]
4 Te 0.500 0.500 0.500 [1 per cell]
5 Se 0.000 0.500 0.000 [1 per cell]
6 Se 0.500 0.000 0.000 [1 per cell]



12.
This entry pairs a crystal structure of NaSn3Pd12 with its theoretical powder X-ray diffraction pattern. Radiation: CuKα. Structure: a crystal structure in Alexandria, relaxed with PBE.
No peak broadening, texture or thermal motion is included.

Largest 6 diffraction maxima, low angle first, 2θ from 10° to 90°:
2θ = 38.6°, rel. 100, (1 1 4)
2θ = 44.6°, rel. 33, (2 0 0)
2θ = 45.5°, rel. 16, (0 0 8)
2θ = 65.6°, rel. 21, (2 0 8)
2θ = 78.2°, rel. 25, (3 1 4)
2θ = 79.4°, rel. 12, (1 1 12)

Structural model:
Cell lengths 4.062, 4.062, 15.952 Å; angles 90.00, 90.00, 90.00 degrees
Space group P4/mmm (No. 123)
Symmetry-distinct sites (fractional):
1 Na 0.000 0.000 0.000 [1 per cell]
2 Sn 0.000 0.000 0.247 [2 per cell]
3 Sn 0.000 0.000 0.500 [1 per cell]
4 Pd 0.000 0.500 0.127 [4 per cell]
5 Pd 0.000 0.500 0.374 [4 per cell]
6 Pd 0.500 0.500 0.000 [1 per cell]
7 Pd 0.500 0.500 0.251 [2 per cell]
8 Pd 0.500 0.500 0.500 [1 per cell]